For ErV2SnO8, a structure optimized by DFT (GGA+U) gives the simulated X-ray diffraction stick pattern in this record (Cu Ka).

Structural model:
Unit cell a=5.821 b=5.821 c=6.394 alpha=90.00 beta=90.00 gamma=120.00
Sites, in units of the cell vectors:
Er 0.000 0.000 0.000
V 0.333 0.667 0.320
V 0.667 0.333 0.680
Sn 0.000 0.000 0.500
O 0.162 0.323 0.243
O 0.162 0.838 0.243
O 0.323 0.162 0.757
O 0.333 0.667 0.576
O 0.667 0.333 0.424
O 0.677 0.838 0.243
O 0.838 0.162 0.757
O 0.838 0.677 0.757

The 12 most intense peaks (2θ = 10–90°), in order of rising 2θ:
hkl 1 0 0, 17.6°, intensity 100
hkl 0 1 1, 22.5°, intensity 33
hkl 1 1 0, 30.7°, intensity 70
hkl 1 0 2, 33.2°, intensity 64
hkl 1 1 2, 42.0°, intensity 30
hkl 0 2 2, 45.8°, intensity 39
hkl 2 1 0, 47.7°, intensity 15
hkl 3 0 0, 54.6°, intensity 13
hkl 2 1 2, 56.2°, intensity 32
hkl 0 1 4, 60.8°, intensity 15
hkl 1 3 2, 74.0°, intensity 14
hkl 1 2 4, 78.0°, intensity 14